1.
Diffraction record for Nb3Ir2. The PXRD pattern is simulated, not measured: it uses a cell relaxed with PBE and Cu Kα, 1.54184 Å.
Intensities are scaled so that the largest is 100.

Main lines, in order of rising 2θ (10 to 90 degrees two-theta):
19.5 deg, intensity 33.9, (1 1 1); 35.1 deg, intensity 25.7, (0 0 2); 37.4 deg, intensity 83.4, (5 3 0); 38.6 deg, intensity 31.8, (6 0 0); 39.7 deg, intensity 21.5, (2 2 2); 40.8 deg, intensity 74.4, (1 3 2); 41.5 deg, intensity 100.0, (3 5 1); 42.6 deg, intensity 60.4, (0 6 1); 45.8 deg, intensity 19.1, (4 2 2); 67.4 deg, intensity 23.4, (3 5 3)

Structural model:
```
data_Nb3Ir2
_chemical_formula_sum 'Nb36 Ir24'
_cell_length_a 13.997
_cell_length_b 14.025
_cell_length_c 5.111
_cell_angle_alpha 90.00
_cell_angle_beta 90.00
_cell_angle_gamma 90.00
_symmetry_space_group_name_H-M 'C m m 2'
_symmetry_Int_Tables_number 35
loop_
_symmetry_equiv_pos_as_xyz
'x,y,z'
'-x,-y,z'
'-x,y,z'
'x,-y,z'
'x+1/2,y+1/2,z'
'-x+1/2,-y+1/2,z'
'-x+1/2,y+1/2,z'
'x+1/2,-y+1/2,z'
loop_
_atom_site_label
_atom_site_fract_x
_atom_site_fract_y
_atom_site_fract_z
Nb1 0.000 0.107 0.000
Nb2 0.000 0.324 0.747
Nb3 0.104 0.500 0.489
Nb4 0.166 0.207 0.999
Nb5 0.178 0.000 0.245
Nb6 0.180 0.000 0.751
Nb7 0.203 0.332 0.494
Ir1 0.000 0.000 0.501
Ir2 0.000 0.319 0.249
Ir3 0.000 0.500 0.982
Ir4 0.096 0.168 0.501
Ir5 0.166 0.403 0.998
```



2.
Diffraction record for Nb5Ir7. The PXRD pattern is simulated, not measured: it uses a cell relaxed with PBE and Cu Kα, 1.54184 Å.
Intensities are scaled so that the largest is 100.

Main lines, in order of rising 2θ (10 to 90 degrees two-theta):
37.5 deg, intensity 21.5, (0 1 2); 39.0 deg, intensity 66.5, (1 2 1); 39.2 deg, intensity 100.0, (0 6 0); 41.8 deg, intensity 82.8, (1 3 1); 42.0 deg, intensity 18.0, (0 3 2); 45.4 deg, intensity 44.9, (1 4 1); 45.6 deg, intensity 25.4, (0 4 2); 66.4 deg, intensity 31.6, (1 0 3); 79.4 deg, intensity 25.9, (2 6 0); 79.9 deg, intensity 34.2, (1 6 3)

Structural model:
```
data_Nb5Ir7
_chemical_formula_sum 'Nb5 Ir7'
_cell_length_a 2.838
_cell_length_b 13.794
_cell_length_c 4.865
_cell_angle_alpha 90.00
_cell_angle_beta 90.00
_cell_angle_gamma 90.00
_symmetry_space_group_name_H-M 'P m m 2'
_symmetry_Int_Tables_number 25
loop_
_symmetry_equiv_pos_as_xyz
'x,y,z'
'-x,-y,z'
'-x,y,z'
'x,-y,z'
loop_
_atom_site_label
_atom_site_fract_x
_atom_site_fract_y
_atom_site_fract_z
Nb1 0.000 0.000 0.000
Nb2 0.000 0.166 0.626
Nb3 0.000 0.340 0.269
Ir1 0.000 0.500 0.937
Ir2 0.500 0.000 0.491
Ir3 0.500 0.170 0.130
Ir4 0.500 0.337 0.781
Ir5 0.500 0.500 0.450
```